# TlB4Mo
Calculated X-ray powder pattern, Cu Kα X-rays. Input: a cell relaxed with GGA-PBE.

Atomic structure:
Unit cell a=3.0160 b=3.0160 c=9.1102 alpha=90.00 beta=90.00 gamma=120.00
Space group P6/mmm (No. 191)
Asymmetric unit:
1 Tl 0.0000 0.0000 0.0000 (multiplicity 1)
2 B 0.3333 0.6667 0.3190 (multiplicity 4)
3 Mo 0.0000 0.0000 0.5000 (multiplicity 1)

Most intense lines, 10 to 90 degrees two-theta, low angle first:
- (0 0 2), 2θ = 19.49°, I = 80
- (1 0 0), 2θ = 34.33°, I = 63
- (1 0 1), 2θ = 35.76°, I = 17
- (0 0 4), 2θ = 39.57°, I = 15
- (1 0 2), 2θ = 39.78°, I = 100
- (1 0 4), 2θ = 53.37°, I = 41
- (1 1 0), 2θ = 61.49°, I = 15
- (1 1 2), 2θ = 65.16°, I = 20
- (1 0 6), 2θ = 71.93°, I = 15
- (2 0 2), 2θ = 75.77°, I = 15